Calculated X-ray diffraction stick pattern
Compound: Cr4CuO12
Radiation: Cu Kα (λ = 1.5418 Å)
Structure: a crystal structure in Alexandria, relaxed with GGA+U
No peak broadening, texture or thermal motion is included.

Atomic structure:
Cell lengths 10.050, 9.124, 5.790 Å; angles 90.00, 109.35, 90.00 degrees
Space group C2 (No. 5)
Inequivalent atoms, fractional coordinates:
1 Cr 0.205 0.000 0.496 x4
2 Cr 0.207 0.185 0.986 x4
3 Cu 0.000 0.501 0.000 x2
4 O 0.122 0.671 0.945 x4
5 O 0.125 0.499 0.372 x4
6 O 0.135 0.084 0.702 x4
7 O 0.143 0.353 0.955 x4
8 O 0.151 0.834 0.459 x4
9 O 0.153 0.088 0.212 x4

Peak list (6 most intense, 10° ≤ 2θ ≤ 90°, in order of rising 2θ)
Position (°2θ)	d/Å	intensity	(hkl)
18.58	4.775	52.7	1 1 -1
18.72	4.741	47.2	2 0 0
19.46	4.562	50.2	0 2 0
25.44	3.501	62.7	0 2 1
28.29	3.155	100.0	2 2 -1
29.92	2.987	55.7	3 1 0

---

Calculated X-ray diffraction stick pattern
Compound: CrCu6O8
Radiation: Cu Kα (λ = 1.5418 Å)
Structure: a crystal structure in Alexandria, relaxed with GGA+U
No peak broadening, texture or thermal motion is included.

Atomic structure:
Cell lengths 5.454, 5.454, 5.454 Å; angles 90.00, 90.00, 90.00 degrees
Space group Pm-3 (No. 200)
Inequivalent atoms, fractional coordinates:
1 Cr 0.000 0.000 0.000 x1
2 Cu 0.000 0.253 0.500 x6
3 O 0.228 0.228 0.228 x8

Peak list (6 most intense, 10° ≤ 2θ ≤ 90°, in order of rising 2θ)
Position (°2θ)	d/Å	intensity	(hkl)
36.85	2.439	100.0	2 1 0
40.51	2.227	35.1	2 1 1
58.63	1.575	21.8	2 2 2
61.28	1.513	23.0	3 0 2
63.85	1.458	17.7	3 2 1
80.74	1.190	17.3	4 2 1

---

Calculated X-ray diffraction stick pattern
Compound: Cr2CuO7
Radiation: Cu Kα (λ = 1.5418 Å)
Structure: a crystal structure in Alexandria, relaxed with GGA+U
No peak broadening, texture or thermal motion is included.

Atomic structure:
Cell lengths 10.666, 8.553, 10.153 Å; angles 90.00, 93.82, 90.00 degrees
Space group P2/c (No. 13)
Inequivalent atoms, fractional coordinates:
1 Cr 0.014 0.246 0.046 x4
2 Cr 0.319 0.217 0.131 x4
3 Cr 0.350 0.263 0.717 x4
4 Cu 0.000 0.424 0.750 x2
5 Cu 0.363 0.069 0.428 x4
6 O 0.004 0.262 0.617 x4
7 O 0.010 0.419 0.118 x4
8 O 0.092 0.131 0.403 x4
9 O 0.163 0.160 0.093 x4
10 O 0.242 0.380 0.760 x4
11 O 0.330 0.227 0.556 x4
12 O 0.346 0.383 0.069 x4
13 O 0.348 0.098 0.802 x4
14 O 0.349 0.229 0.294 x4
15 O 0.411 0.080 0.066 x4
16 O 0.500 0.352 0.750 x2

Peak list (6 most intense, 10° ≤ 2θ ≤ 90°, in order of rising 2θ)
Position (°2θ)	d/Å	intensity	(hkl)
13.28	6.667	60.3	1 1 0
20.77	4.277	25.4	0 2 0
25.10	3.547	100.0	3 0 0
28.22	3.162	67.4	1 2 -2
28.42	3.141	53.6	0 1 3
32.78	2.732	34.4	2 2 2

---

Calculated X-ray diffraction stick pattern
Compound: CrCuP2O8
Radiation: Cu Kα (λ = 1.5418 Å)
Structure: a crystal structure in Alexandria, relaxed with GGA+U
No peak broadening, texture or thermal motion is included.

Atomic structure:
Cell lengths 4.957, 5.928, 10.138 Å; angles 90.00, 95.94, 90.00 degrees
Space group P2_1/m (No. 11)
Inequivalent atoms, fractional coordinates:
1 Cr 0.044 0.250 0.290 x2
2 Cu 0.349 0.250 0.806 x2
3 P 0.112 0.750 0.404 x2
4 P 0.445 0.750 0.892 x2
5 O 0.160 0.750 0.555 x2
6 O 0.203 0.250 0.631 x2
7 O 0.234 0.537 0.343 x4
8 O 0.261 0.250 0.133 x2
9 O 0.262 0.557 0.820 x4
10 O 0.409 0.750 0.040 x2

Peak list (6 most intense, 10° ≤ 2θ ≤ 90°, in order of rising 2θ)
Position (°2θ)	d/Å	intensity	(hkl)
17.59	5.042	54.1	0 0 2
19.20	4.622	100.0	1 0 -1
25.76	3.459	35.9	1 1 1
30.15	2.964	64.2	0 2 0
30.61	2.921	42.4	1 0 -3
36.00	2.495	33.7	1 2 -1

---

Calculated X-ray diffraction stick pattern
Compound: Cr4Cu3P6O24
Radiation: Cu Kα (λ = 1.5418 Å)
Structure: a crystal structure in Alexandria, relaxed with GGA+U
No peak broadening, texture or thermal motion is included.

Atomic structure:
Cell lengths 6.313, 7.950, 9.433 Å; angles 106.86, 107.75, 100.11 degrees
Space group P-1 (No. 2)
Inequivalent atoms, fractional coordinates:
1 Cr 0.049 0.212 0.022 x2
2 Cr 0.381 0.959 0.610 x2
3 Cu 0.000 0.500 0.500 x1
4 Cu 0.291 0.324 0.805 x2
5 P 0.095 0.104 0.337 x2
6 P 0.226 0.645 0.264 x2
7 P 0.396 0.736 0.868 x2
8 O 0.009 0.685 0.155 x2
9 O 0.076 0.052 0.158 x2
10 O 0.116 0.024 0.658 x2
11 O 0.124 0.304 0.419 x2
12 O 0.207 0.444 0.202 x2
13 O 0.227 0.704 0.437 x2
14 O 0.250 0.791 0.965 x2
15 O 0.282 0.534 0.742 x2
16 O 0.316 0.049 0.422 x2
17 O 0.364 0.247 0.004 x2
18 O 0.444 0.859 0.777 x2
19 O 0.454 0.760 0.261 x2

Peak list (6 most intense, 10° ≤ 2θ ≤ 90°, in order of rising 2θ)
Position (°2θ)	d/Å	intensity	(hkl)
19.01	4.668	26.0	-1 1 1
20.49	4.335	29.4	1 -1 1
29.83	2.995	70.6	0 1 -3
30.15	2.964	100.0	0 2 1
30.80	2.903	31.3	1 0 2
33.27	2.693	28.7	2 1 -2

---

Calculated X-ray diffraction stick pattern
Compound: Sr2CrCuSO3
Radiation: Cu Kα (λ = 1.5418 Å)
Structure: a crystal structure in Alexandria, relaxed with GGA+U
No peak broadening, texture or thermal motion is included.

Atomic structure:
Cell lengths 3.952, 3.952, 15.505 Å; angles 90.00, 90.00, 90.00 degrees
Space group P4/nmm (No. 129, origin choice 2)
Inequivalent atoms, fractional coordinates:
1 Sr 0.250 0.250 0.088 x2
2 Sr 0.250 0.250 0.316 x2
3 Cr 0.250 0.250 0.806 x2
4 Cu 0.250 0.750 0.500 x2
5 S 0.250 0.250 0.590 x2
6 O 0.250 0.250 0.930 x2
7 O 0.250 0.750 0.213 x4

Peak list (6 most intense, 10° ≤ 2θ ≤ 90°, in order of rising 2θ)
Position (°2θ)	d/Å	intensity	(hkl)
32.03	2.794	33.1	1 1 0
32.35	2.767	100.0	1 0 4
36.56	2.458	24.2	1 1 3
39.77	2.267	31.2	1 1 4
45.93	1.976	53.2	2 0 0
57.30	1.608	37.3	2 1 4

---

Calculated X-ray diffraction stick pattern
Compound: Sr2YCrCu2O8
Radiation: Cu Kα (λ = 1.5418 Å)
Structure: a crystal structure in Alexandria, relaxed with GGA+U
No peak broadening, texture or thermal motion is included.

Atomic structure:
Cell lengths 11.552, 5.431, 5.443 Å; angles 90.00, 90.00, 90.00 degrees
Space group Amm2 (No. 38)
Inequivalent atoms, fractional coordinates:
1 Sr 0.165 0.000 0.000 x4
2 Y 0.500 0.000 0.998 x2
3 Cr 0.000 0.000 0.500 x2
4 Cu 0.344 0.000 0.498 x4
5 O 0.000 0.250 0.250 x4
6 O 0.167 0.000 0.500 x4
7 O 0.377 0.250 0.248 x8

Peak list (6 most intense, 10° ≤ 2θ ≤ 90°, in order of rising 2θ)
Position (°2θ)	d/Å	intensity	(hkl)
32.93	2.720	100.0	3 1 1
47.27	1.923	31.9	0 2 2
58.77	1.571	26.9	6 2 0
58.86	1.569	12.7	3 3 1
69.04	1.360	13.6	0 0 4
78.72	1.216	7.8	3 3 3

---

Calculated X-ray diffraction stick pattern
Compound: CrCu2TeO8
Radiation: Cu Kα (λ = 1.5418 Å)
Structure: a crystal structure in Alexandria, relaxed with GGA+U
No peak broadening, texture or thermal motion is included.

Atomic structure:
Cell lengths 6.264, 6.264, 6.727 Å; angles 90.00, 90.00, 90.00 degrees
Space group I-4m2 (No. 119)
Inequivalent atoms, fractional coordinates:
1 Cr 0.000 0.000 0.000 x2
2 Cu 0.000 0.000 0.500 x2
3 Cu 0.000 0.500 0.750 x2
4 Te 0.000 0.500 0.250 x2
5 O 0.000 0.187 0.288 x8
6 O 0.000 0.312 0.970 x8

Peak list (6 most intense, 10° ≤ 2θ ≤ 90°, in order of rising 2θ)
Position (°2θ)	d/Å	intensity	(hkl)
19.36	4.584	20.4	1 0 1
28.50	3.132	100.0	2 0 0
33.45	2.679	83.2	1 1 2
53.70	1.707	66.9	3 1 2
62.70	1.482	19.3	2 0 4
69.54	1.352	20.0	3 3 2

---

Calculated X-ray diffraction stick pattern
Compound: TmCr2CuO8
Radiation: Cu Kα (λ = 1.5418 Å)
Structure: a crystal structure in Alexandria, relaxed with GGA+U
No peak broadening, texture or thermal motion is included.

Atomic structure:
Cell lengths 6.931, 6.931, 6.283 Å; angles 90.00, 90.00, 90.00 degrees
Space group I-4m2 (No. 119)
Inequivalent atoms, fractional coordinates:
1 Tm 0.000 0.000 0.000 x2
2 Cr 0.000 0.000 0.500 x2
3 Cr 0.000 0.500 0.250 x2
4 Cu 0.000 0.500 0.750 x2
5 O 0.000 0.190 0.669 x8
6 O 0.000 0.308 0.092 x8

Peak list (6 most intense, 10° ≤ 2θ ≤ 90°, in order of rising 2θ)
Position (°2θ)	d/Å	intensity	(hkl)
19.07	4.655	34.6	1 0 1
25.71	3.466	100.0	2 0 0
33.89	2.645	75.9	1 1 2
36.67	2.451	18.0	2 2 0
50.79	1.798	57.7	3 1 2
52.81	1.733	21.7	4 0 0

---

Calculated X-ray diffraction stick pattern
Compound: VCrCuO5
Radiation: Cu Kα (λ = 1.5418 Å)
Structure: a crystal structure in Alexandria, relaxed with GGA+U
No peak broadening, texture or thermal motion is included.

Atomic structure:
Cell lengths 5.297, 10.205, 6.665 Å; angles 90.00, 102.70, 90.00 degrees
Space group C2/c (No. 15)
Inequivalent atoms, fractional coordinates:
1 V 0.000 0.000 0.000 x4
2 Cr 0.000 0.434 0.250 x4
3 Cu 0.000 0.280 0.750 x4
4 O 0.000 0.072 0.250 x4
5 O 0.158 0.418 0.969 x8
6 O 0.186 0.151 0.627 x8

Peak list (6 most intense, 10° ≤ 2θ ≤ 90°, in order of rising 2θ)
Position (°2θ)	d/Å	intensity	(hkl)
30.38	2.942	99.1	1 1 -2
32.66	2.742	47.3	0 2 2
32.84	2.727	63.7	1 3 -1
34.72	2.584	66.5	2 0 0
35.99	2.495	100.0	1 3 1
49.72	1.834	61.7	1 3 -3